# CsNpWN4
Simulated X-ray powder pattern, Cu Ka. Input: DFT lattice parameters and positions (GGA-PBE).
Intensities are scaled so that the largest is 100.

Largest 10 diffraction maxima, sorted by position, 2θ from 10° to 80°:
(0 0 1), d = 8.346 Å, rel. 100.0
(1 1 -1), d = 3.785 Å, rel. 24.9
(0 1 2), d = 3.418 Å, rel. 55.2
(1 0 2), d = 3.393 Å, rel. 15.4
(0 2 0), d = 2.984 Å, rel. 68.9
(2 1 0), d = 2.672 Å, rel. 14.9
(2 1 -2), d = 2.266 Å, rel. 24.7
(1 2 2), d = 2.237 Å, rel. 13.1
(2 2 0), d = 2.110 Å, rel. 16.3
(1 1 4), d = 1.861 Å, rel. 17.6

Structure:
```
data_CsNpWN4
_symmetry_space_group_name_H-M 'P 1'
_symmetry_Int_Tables_number 1
_cell_length_a 5.978
_cell_length_b 5.960
_cell_length_c 8.347
_cell_angle_alpha 90.00
_cell_angle_beta 91.01
_cell_angle_gamma 90.00
loop_
_symmetry_equiv_pos_as_xyz
'x,y,z'
loop_
_atom_site_label
_atom_site_type_symbol
_atom_site_fract_x
_atom_site_fract_y
_atom_site_fract_z
_atom_site_occupancy
Cs1 Cs 0.246 0.250 0.119 1
Cs2 Cs 0.754 0.750 0.881 1
Np1 Np 0.309 0.750 0.465 1
Np2 Np 0.691 0.250 0.535 1
W1 W 0.187 0.250 0.642 1
W2 W 0.813 0.750 0.358 1
N1 N 0.043 0.250 0.447 1
N2 N 0.090 0.750 0.251 1
N3 N 0.399 0.010 0.646 1
N4 N 0.399 0.490 0.646 1
N5 N 0.601 0.510 0.354 1
N6 N 0.601 0.990 0.354 1
N7 N 0.910 0.250 0.749 1
N8 N 0.957 0.750 0.553 1
```